# 1
Diffraction record for BaNb4Fe2O14. The powder X-ray diffraction pattern is theoretical, not measured: it uses a DFT-relaxed cell (GGA+U, Alexandria) and λ = 1.5418 Å (Cu Kα).
Peak positions follow from Bragg's law for the DFT cell and can differ from measured ones.

Crystal structure
Unit cell a=6.574 b=6.828 c=9.108 alpha=109.16 beta=99.42 gamma=98.15
Fractional coordinates of all 21 atoms:
Ba 0.000 0.000 0.000
Nb 0.296 0.498 0.357
Nb 0.468 0.168 0.801
Nb 0.532 0.832 0.199
Nb 0.704 0.502 0.643
Fe 0.303 0.636 0.784
Fe 0.697 0.364 0.216
O 0.011 0.424 0.268
O 0.280 0.911 0.749
O 0.310 0.372 0.841
O 0.325 0.793 0.018
O 0.330 0.472 0.560
O 0.370 0.286 0.193
O 0.380 0.783 0.354
O 0.620 0.217 0.646
O 0.630 0.714 0.807
O 0.670 0.528 0.440
O 0.675 0.207 0.982
O 0.690 0.628 0.159
O 0.720 0.089 0.251
O 0.989 0.576 0.732

Principal peaks in the range 2θ = 15–90°, in order of falling intensity:
| 2theta | intensity |
| --- | --- |
| 28.03 | 1000 |
| 20.44 | 949 |
| 24.09 | 874 |
| 19.57 | 687 |
| 34.38 | 566 |
| 31.63 | 531 |
| 28.74 | 526 |
| 31.96 | 509 |
| 26.38 | 442 |
| 34.24 | 392 |
| 29.17 | 382 |
| 21.20 | 365 |



# 2
Diffraction record for Ba2NdFe2O6. The powder X-ray diffraction pattern is theoretical, not measured: it uses a DFT-relaxed cell (GGA+U, Alexandria) and λ = 1.5418 Å (Cu Kα).
Peak positions follow from Bragg's law for the DFT cell and can differ from measured ones.

Crystal structure
Unit cell a=6.997 b=6.997 c=6.997 alpha=52.72 beta=52.72 gamma=52.72
Fractional coordinates of all 11 atoms:
Ba 0.207 0.207 0.207
Ba 0.793 0.793 0.793
Nd 0.000 0.000 0.000
Fe 0.429 0.429 0.429
Fe 0.571 0.571 0.571
O 0.234 0.749 0.749
O 0.251 0.251 0.766
O 0.251 0.766 0.251
O 0.749 0.234 0.749
O 0.749 0.749 0.234
O 0.766 0.251 0.251

Principal peaks in the range 2θ = 15–90°, in order of falling intensity:
| 2theta | intensity |
| --- | --- |
| 28.74 | 1000 |
| 29.84 | 808 |
| 41.90 | 372 |
| 51.60 | 359 |
| 25.79 | 236 |
| 38.99 | 210 |
| 50.91 | 203 |
| 54.52 | 200 |
| 59.51 | 187 |
| 17.20 | 164 |
| 67.99 | 150 |
| 53.63 | 103 |



# 3
Diffraction record for Ba3Fe3O8. The powder X-ray diffraction pattern is theoretical, not measured: it uses a DFT-relaxed cell (GGA+U, Alexandria) and λ = 1.5418 Å (Cu Kα).
Peak positions follow from Bragg's law for the DFT cell and can differ from measured ones.

Crystal structure
Unit cell a=14.170 b=5.853 c=5.853 alpha=59.08 beta=90.00 gamma=90.00
Fractional coordinates of all 28 atoms:
Ba 0.000 0.000 0.000
Ba 0.148 0.667 0.667
Ba 0.339 0.324 0.324
Ba 0.500 0.002 0.002
Ba 0.661 0.324 0.324
Ba 0.852 0.667 0.667
Fe 0.094 0.337 0.337
Fe 0.239 0.016 0.016
Fe 0.410 0.636 0.636
Fe 0.590 0.636 0.636
Fe 0.761 0.016 0.016
Fe 0.906 0.337 0.337
O 0.000 0.035 0.498
O 0.000 0.491 0.491
O 0.000 0.498 0.035
O 0.165 0.169 0.169
O 0.180 0.150 0.668
O 0.180 0.668 0.150
O 0.332 0.324 0.836
O 0.332 0.836 0.324
O 0.500 0.488 0.488
O 0.500 0.514 0.949
O 0.500 0.949 0.514
O 0.668 0.324 0.836
O 0.668 0.836 0.324
O 0.820 0.150 0.668
O 0.820 0.668 0.150
O 0.835 0.169 0.169

Principal peaks in the range 2θ = 15–90°, in order of falling intensity:
| 2theta | intensity |
| --- | --- |
| 30.93 | 1000 |
| 30.55 | 913 |
| 25.90 | 395 |
| 44.21 | 329 |
| 30.75 | 283 |
| 48.45 | 230 |
| 38.06 | 211 |
| 40.70 | 201 |
| 54.85 | 183 |
| 43.78 | 173 |
| 55.04 | 151 |
| 63.59 | 146 |



# 4
Diffraction record for Ba2FeO3. The powder X-ray diffraction pattern is theoretical, not measured: it uses a DFT-relaxed cell (GGA+U, Alexandria) and λ = 1.5418 Å (Cu Kα).
Peak positions follow from Bragg's law for the DFT cell and can differ from measured ones.

Crystal structure
Unit cell a=6.579 b=6.579 c=12.762 alpha=90.00 beta=90.00 gamma=126.08
Fractional coordinates of all 24 atoms:
Ba 0.033 0.967 0.847
Ba 0.145 0.855 0.422
Ba 0.355 0.645 0.922
Ba 0.467 0.533 0.347
Ba 0.533 0.467 0.653
Ba 0.645 0.355 0.078
Ba 0.855 0.145 0.578
Ba 0.967 0.033 0.153
Fe 0.249 0.751 0.160
Fe 0.251 0.749 0.660
Fe 0.749 0.251 0.340
Fe 0.751 0.249 0.840
O 0.083 0.417 0.750
O 0.084 0.916 0.641
O 0.151 0.849 0.031
O 0.349 0.651 0.531
O 0.416 0.584 0.141
O 0.417 0.083 0.250
O 0.583 0.917 0.750
O 0.584 0.416 0.859
O 0.651 0.349 0.469
O 0.849 0.151 0.969
O 0.916 0.084 0.359
O 0.917 0.583 0.250

Principal peaks in the range 2θ = 15–90°, in order of falling intensity:
| 2theta | intensity |
| --- | --- |
| 29.96 | 1000 |
| 28.17 | 918 |
| 30.73 | 738 |
| 26.84 | 554 |
| 53.15 | 429 |
| 32.73 | 380 |
| 62.26 | 357 |
| 27.96 | 318 |
| 41.44 | 306 |
| 31.30 | 301 |
| 38.46 | 263 |
| 39.99 | 259 |



# 5
Diffraction record for BaFe2O4. The powder X-ray diffraction pattern is theoretical, not measured: it uses a DFT-relaxed cell (GGA+U, Alexandria) and λ = 1.5418 Å (Cu Kα).
Peak positions follow from Bragg's law for the DFT cell and can differ from measured ones.

Crystal structure
Unit cell a=10.597 b=10.597 c=5.504 alpha=90.00 beta=90.00 gamma=132.07
Fractional coordinates of all 28 atoms:
Ba 0.119 0.881 0.500
Ba 0.370 0.630 0.967
Ba 0.630 0.370 0.467
Ba 0.881 0.119 0.000
Fe 0.001 0.582 0.972
Fe 0.176 0.264 0.494
Fe 0.264 0.176 0.994
Fe 0.418 0.999 0.972
Fe 0.582 0.001 0.472
Fe 0.736 0.824 0.494
Fe 0.824 0.736 0.994
Fe 0.999 0.418 0.472
O 0.004 0.421 0.820
O 0.050 0.950 0.979
O 0.167 0.420 0.351
O 0.217 0.783 0.866
O 0.240 0.318 0.828
O 0.318 0.240 0.328
O 0.420 0.167 0.851
O 0.421 0.004 0.320
O 0.579 0.996 0.820
O 0.580 0.833 0.351
O 0.682 0.760 0.828
O 0.760 0.682 0.328
O 0.783 0.217 0.366
O 0.833 0.580 0.851
O 0.950 0.050 0.479
O 0.996 0.579 0.320

Principal peaks in the range 2θ = 15–90°, in order of falling intensity:
| 2theta | intensity |
| --- | --- |
| 27.88 | 1000 |
| 32.15 | 586 |
| 27.73 | 495 |
| 32.54 | 318 |
| 43.27 | 273 |
| 53.84 | 189 |
| 41.98 | 158 |
| 57.81 | 150 |
| 42.86 | 144 |
| 55.25 | 143 |
| 18.54 | 142 |
| 73.98 | 141 |



# 6
Diffraction record for Ba4Fe3O10. The powder X-ray diffraction pattern is theoretical, not measured: it uses a DFT-relaxed cell (GGA+U, Alexandria) and λ = 1.5418 Å (Cu Kα).
Peak positions follow from Bragg's law for the DFT cell and can differ from measured ones.

Crystal structure
Unit cell a=14.966 b=14.966 c=14.966 alpha=164.44 beta=164.44 gamma=22.07
Fractional coordinates of all 17 atoms:
Ba 0.068 0.068 0.000
Ba 0.201 0.201 0.000
Ba 0.799 0.799 0.000
Ba 0.932 0.932 0.000
Fe 0.363 0.363 0.000
Fe 0.500 0.500 0.000
Fe 0.637 0.637 0.000
O 0.000 0.500 0.500
O 0.137 0.637 0.500
O 0.296 0.296 0.000
O 0.363 0.863 0.500
O 0.430 0.430 0.000
O 0.500 0.000 0.500
O 0.570 0.570 0.000
O 0.637 0.137 0.500
O 0.704 0.704 0.000
O 0.863 0.363 0.500

Principal peaks in the range 2θ = 15–90°, in order of falling intensity:
| 2theta | intensity |
| --- | --- |
| 30.67 | 1000 |
| 31.22 | 620 |
| 55.22 | 379 |
| 44.74 | 368 |
| 39.91 | 273 |
| 63.87 | 133 |
| 54.18 | 129 |
| 22.15 | 123 |
| 43.11 | 118 |
| 65.13 | 111 |
| 79.17 | 105 |
| 73.99 | 102 |